Record 1
Starting from a PBE-relaxed structure, the X-ray powder pattern of CoAgN was computed for Cu Ka.
No peak broadening, texture or thermal motion is included.

Cell and atoms:
abc: 2.792 5.093 5.324
angles: 90.00 104.73 90.00
Space group P2_1/m (No. 11)
Asymmetric unit:
Co 0.000 0.000 0.000 (multiplicity 2)
Ag 0.244 0.250 0.488 (multiplicity 2)
N 0.463 0.250 0.924 (multiplicity 2)

Principal peaks in the range 10 to 90 degrees two-theta, most intense first:
2theta  intensity
39.48  100
34.85  88
37.71  57
37.83  57
45.34  27
45.67  26
65.59  22
64.92  21


Record 2
Starting from a PBE-relaxed structure, the X-ray powder pattern of Nd2Co3 was computed for Cu Ka.
No peak broadening, texture or thermal motion is included.

Cell and atoms:
abc: 4.898 10.113 7.508
angles: 90.00 90.00 90.00
Space group Cmce (No. 64)
Asymmetric unit:
Nd 0.000 0.156 0.093 (multiplicity 8)
Co 0.000 0.000 0.500 (multiplicity 4)
Co 0.250 0.088 0.750 (multiplicity 8)

Principal peaks in the range 10 to 90 degrees two-theta, most intense first:
2theta  intensity
34.43  100
31.30  70
40.21  51
42.76  41
44.15  25
54.86  20
37.54  20
64.63  16


Record 3
Starting from a PBE-relaxed structure, the X-ray powder pattern of InGe3 was computed for Cu Ka.
No peak broadening, texture or thermal motion is included.

Cell and atoms:
abc: 4.392 4.392 4.392
angles: 90.00 90.00 90.00
Space group Pm-3m (No. 221)
Asymmetric unit:
In 0.000 0.000 0.000 (multiplicity 1)
Ge 0.000 0.500 0.500 (multiplicity 3)

Principal peaks in the range 10 to 90 degrees two-theta, most intense first:
2theta  intensity
35.40  100
41.11  49
71.21  37
59.54  32
74.90  11
89.20  5
20.22  4
28.75  4


Record 4
Starting from a PBE-relaxed structure, the X-ray powder pattern of Ti3V3Ge5 was computed for Cu Ka.
No peak broadening, texture or thermal motion is included.

Cell and atoms:
abc: 18.335 5.087 7.818
angles: 90.00 115.15 90.00
Space group C2/m (No. 12)
Asymmetric unit:
Ti 0.064 0.000 0.307 (multiplicity 4)
Ti 0.142 0.000 0.753 (multiplicity 4)
Ti 0.142 0.500 0.531 (multiplicity 4)
V 0.064 0.500 0.821 (multiplicity 4)
V 0.192 0.249 0.192 (multiplicity 8)
Ge 0.000 0.254 0.500 (multiplicity 4)
Ge 0.068 0.500 0.159 (multiplicity 4)
Ge 0.069 0.000 0.974 (multiplicity 4)
Ge 0.211 0.500 0.913 (multiplicity 4)
Ge 0.213 0.000 0.512 (multiplicity 4)

Principal peaks in the range 10 to 90 degrees two-theta, most intense first:
2theta  intensity
40.38  100
40.71  92
39.74  77
38.17  57
38.81  54
42.40  48
35.28  41
39.83  40


Record 5
Starting from a PBE-relaxed structure, the X-ray powder pattern of KNdSe2O8 was computed for Cu Ka.
No peak broadening, texture or thermal motion is included.

Cell and atoms:
abc: 8.871 7.493 11.162
angles: 90.00 91.71 90.00
Space group P2_1/c (No. 14)
Asymmetric unit:
K 0.067 0.152 0.337 (multiplicity 4)
Nd 0.442 0.662 0.652 (multiplicity 4)
Se 0.218 0.662 0.411 (multiplicity 4)
Se 0.308 0.163 0.606 (multiplicity 4)
O 0.086 0.519 0.369 (multiplicity 4)
O 0.125 0.134 0.606 (multiplicity 4)
O 0.197 0.747 0.047 (multiplicity 4)
O 0.242 0.680 0.806 (multiplicity 4)
O 0.357 0.161 0.196 (multiplicity 4)
O 0.365 0.182 0.466 (multiplicity 4)
O 0.388 0.562 0.440 (multiplicity 4)
O 0.409 0.001 0.679 (multiplicity 4)

Principal peaks in the range 10 to 90 degrees two-theta, most intense first:
2theta  intensity
26.95  100
28.68  75
25.28  56
42.52  33
32.10  32
45.07  31
48.57  31
48.31  24


Record 6
Starting from a PBE-relaxed structure, the X-ray powder pattern of RbCeMg6O8 was computed for Cu Ka.
No peak broadening, texture or thermal motion is included.

Cell and atoms:
abc: 4.725 4.725 9.185
angles: 90.00 90.00 90.00
Space group P4/mmm (No. 123)
Asymmetric unit:
Rb 0.000 0.000 0.000 (multiplicity 1)
Ce 0.000 0.000 0.500 (multiplicity 1)
Mg 0.000 0.500 0.229 (multiplicity 4)
Mg 0.500 0.500 0.000 (multiplicity 1)
Mg 0.500 0.500 0.500 (multiplicity 1)
O 0.000 0.000 0.266 (multiplicity 2)
O 0.000 0.500 0.000 (multiplicity 2)
O 0.000 0.500 0.500 (multiplicity 2)
O 0.500 0.500 0.250 (multiplicity 2)

Principal peaks in the range 10 to 90 degrees two-theta, most intense first:
2theta  intensity
38.09  100
18.78  69
33.16  66
27.08  58
55.83  56
39.23  43
19.33  34
54.96  31


Question: Number 2 is which compound?
Answer: Nd2Co3